Entry 1:
Starting from DFT lattice parameters and positions (PBE), the powder diffraction line list of Sm2H3N was computed for Cu Kα X-rays.
Peak positions follow from Bragg's law for the DFT cell and can differ from measured ones.

Cell and atoms:
a = 5.4743 Å, b = 5.4743 Å, c = 5.4743 Å
α = 90.00°, β = 90.00°, γ = 90.00°
Space group Pn-3m (No. 224, origin choice 2)
Unique sites:
1 Sm 0.0000 0.0000 0.0000 x4
2 H 0.2500 0.2500 0.7500 x6
3 N 0.2500 0.2500 0.2500 x2

Main lines, sorted by position (10 to 80 degrees two-theta):
d (Å)	intensity
3.871	1
3.161	100
2.737	45
1.935	41
1.651	45
1.580	12
1.369	6
1.256	18
1.224	16

---

Entry 2:
Starting from DFT lattice parameters and positions (PBE), the powder diffraction line list of Sr3H2N was computed for Cu Kα X-rays.
Peak positions follow from Bragg's law for the DFT cell and can differ from measured ones.

Cell and atoms:
a = 12.2503 Å, b = 5.3138 Å, c = 3.9416 Å
α = 90.00°, β = 90.19°, γ = 90.00°
Space group C2/m (No. 12)
Unique sites:
1 Sr 0.0000 0.0000 0.0000 x2
2 Sr 0.1408 0.5000 0.5020 x4
3 H 0.1362 0.0000 0.5011 x4
4 N 0.0000 0.5000 0.0000 x2

Main lines, sorted by position (10 to 80 degrees two-theta):
d (Å)	intensity
6.125	18
3.314	34
3.238	86
3.065	100
2.657	39
2.422	27
2.415	26
2.073	17
1.971	16
1.788	41
1.583	15
1.533	17

---

Entry 3:
Starting from DFT lattice parameters and positions (PBE), the powder diffraction line list of SrH4N2 was computed for Cu Kα X-rays.
Peak positions follow from Bragg's law for the DFT cell and can differ from measured ones.

Cell and atoms:
a = 6.7893 Å, b = 7.7919 Å, c = 6.7387 Å
α = 90.00°, β = 109.53°, γ = 90.00°
Space group P2_1/c (No. 14)
Unique sites:
1 Sr 0.2500 0.1228 0.0005 x4
2 H 0.0164 0.5831 0.1437 x4
3 H 0.1232 0.7252 0.3218 x4
4 H 0.3904 0.6873 0.7434 x4
5 H 0.4501 0.0403 0.6250 x4
6 N 0.9995 0.1397 0.2244 x4
7 N 0.4793 0.1188 0.7548 x4

Main lines, sorted by position (10 to 80 degrees two-theta):
d (Å)	intensity
4.934	100
3.181	21
3.071	15
3.055	14
2.759	64
2.409	18
2.404	17
2.056	10
2.049	10
1.957	14
1.950	13
1.946	13

---

Entry 4:
Starting from DFT lattice parameters and positions (PBE), the powder diffraction line list of Sr4H6N was computed for Cu Kα X-rays.
Peak positions follow from Bragg's law for the DFT cell and can differ from measured ones.

Cell and atoms:
a = 8.2800 Å, b = 8.2800 Å, c = 5.9792 Å
α = 90.00°, β = 90.00°, γ = 90.00°
Space group P4_2/nmc (No. 137, origin choice 2)
Unique sites:
1 Sr 0.0082 0.2500 0.0377 x8
2 H 0.0272 0.5272 0.2500 x8
3 H 0.2500 0.2500 0.2860 x4
4 N 0.2500 0.7500 0.7500 x2

Main lines, sorted by position (10 to 80 degrees two-theta):
d (Å)	intensity
4.847	6
3.404	100
2.990	13
2.927	31
2.092	24
2.070	14
1.796	10
1.769	29
1.702	10
1.356	7
1.345	6
1.309	5

---

Entry 5:
Starting from DFT lattice parameters and positions (PBE), the powder diffraction line list of Sr8HN4 was computed for Cu Kα X-rays.
Peak positions follow from Bragg's law for the DFT cell and can differ from measured ones.

Cell and atoms:
a = 11.1072 Å, b = 11.1072 Å, c = 11.1072 Å
α = 90.00°, β = 90.00°, γ = 90.00°
Space group F-43m (No. 216)
Unique sites:
1 Sr 0.1112 0.1112 0.3888 x16
2 Sr 0.1374 0.1374 0.8626 x16
3 H 0.0000 0.0000 0.0000 x4
4 N 0.1246 0.1246 0.6246 x16

Main lines, sorted by position (10 to 80 degrees two-theta):
d (Å)	intensity
6.413	19
3.206	100
2.777	69
2.138	16
1.963	44
1.674	36
1.603	14
1.555	10
1.446	9
1.357	6
1.274	12
1.242	14

---

Entry 6:
Starting from DFT lattice parameters and positions (PBE), the powder diffraction line list of Sr4H3N2 was computed for Cu Kα X-rays.
Peak positions follow from Bragg's law for the DFT cell and can differ from measured ones.

Cell and atoms:
a = 12.8786 Å, b = 3.5958 Å, c = 6.9503 Å
α = 90.00°, β = 91.99°, γ = 90.00°
Space group C2/m (No. 12)
Unique sites:
1 Sr 0.1315 0.0000 0.0702 x4
2 Sr 0.1370 0.5000 0.5734 x4
3 H 0.0000 0.0000 0.5000 x2
4 H 0.0154 0.5000 0.8364 x4
5 N 0.2480 0.5000 0.2470 x4

Main lines, sorted by position (10 to 80 degrees two-theta):
d (Å)	intensity
3.473	19
3.218	42
3.108	100
3.088	12
3.013	27
2.542	66
2.402	18
2.020	22
1.933	22
1.798	22
1.583	11
1.570	10

---

Entry 7:
Starting from DFT lattice parameters and positions (PBE), the powder diffraction line list of SrHWN2 was computed for Cu Kα X-rays.
Peak positions follow from Bragg's law for the DFT cell and can differ from measured ones.

Cell and atoms:
a = 4.0399 Å, b = 4.0399 Å, c = 3.7973 Å
α = 90.00°, β = 90.00°, γ = 90.00°
Space group P4/mmm (No. 123)
Unique sites:
1 Sr 0.0000 0.0000 0.0000 x1
2 H 0.5000 0.5000 0.0000 x1
3 W 0.5000 0.5000 0.5000 x1
4 N 0.0000 0.5000 0.5000 x2

Main lines, sorted by position (10 to 80 degrees two-theta):
d (Å)	intensity
4.040	16
3.797	11
2.857	45
2.767	100
2.020	25
1.899	10
1.631	42
1.581	16
1.383	14
1.278	8
1.269	9
1.208	8

---

Entry 8:
Starting from DFT lattice parameters and positions (PBE), the powder diffraction line list of Ta4HN was computed for Cu Kα X-rays.
Peak positions follow from Bragg's law for the DFT cell and can differ from measured ones.

Cell and atoms:
a = 7.0899 Å, b = 7.0899 Å, c = 6.4516 Å
α = 90.00°, β = 90.00°, γ = 90.00°
Space group I4_1md (No. 109)
Unique sites:
1 Ta 0.0000 0.2112 0.0000 x8
2 Ta 0.0000 0.2256 0.5133 x8
3 H 0.0000 0.0000 0.1992 x4
4 N 0.0000 0.0000 0.7557 x4

Main lines, sorted by position (10 to 80 degrees two-theta):
d (Å)	intensity
2.713	5
2.507	51
2.386	100
2.242	13
1.772	17
1.613	8
1.484	8
1.423	28
1.356	15
1.309	5
1.277	7
1.216	6

---

Entry 9:
Starting from DFT lattice parameters and positions (PBE), the powder diffraction line list of Tb4HN3 was computed for Cu Kα X-rays.
Peak positions follow from Bragg's law for the DFT cell and can differ from measured ones.

Cell and atoms:
a = 7.0674 Å, b = 9.7863 Å, c = 3.4983 Å
α = 90.00°, β = 90.00°, γ = 90.00°
Space group Cmmm (No. 65)
Unique sites:
1 Tb 0.0000 0.2454 0.0000 x4
2 Tb 0.2332 0.0000 0.5000 x4
3 H 0.0000 0.5000 0.0000 x2
4 N 0.0000 0.0000 0.0000 x2
5 N 0.2500 0.2500 0.5000 x4

Main lines, sorted by position (10 to 80 degrees two-theta):
d (Å)	intensity
2.865	99
2.846	100
2.486	89
2.447	43
1.767	15
1.749	15
1.744	60
1.501	28
1.493	29
1.478	14
1.432	14
1.423	15

---

Entry 10:
Starting from DFT lattice parameters and positions (PBE), the powder diffraction line list of Th2H3N was computed for Cu Kα X-rays.
Peak positions follow from Bragg's law for the DFT cell and can differ from measured ones.

Cell and atoms:
a = 5.5546 Å, b = 5.5546 Å, c = 5.5546 Å
α = 90.00°, β = 90.00°, γ = 90.00°
Space group Pn-3m (No. 224, origin choice 2)
Unique sites:
1 Th 0.0000 0.0000 0.0000 x4
2 H 0.2500 0.2500 0.7500 x6
3 N 0.2500 0.2500 0.2500 x2

Main lines, sorted by position (10 to 80 degrees two-theta):
d (Å)	intensity
3.207	100
2.777	47
1.964	42
1.675	48
1.603	13
1.389	7
1.274	20
1.242	17

---

Entry 11:
Starting from DFT lattice parameters and positions (PBE), the powder diffraction line list of Th4H2N was computed for Cu Kα X-rays.
Peak positions follow from Bragg's law for the DFT cell and can differ from measured ones.

Cell and atoms:
a = 4.9587 Å, b = 4.9587 Å, c = 11.4437 Å
α = 90.00°, β = 90.00°, γ = 90.00°
Space group I4/mmm (No. 139)
Unique sites:
1 Th 0.0000 0.0000 0.2279 x4
2 Th 0.0000 0.5000 0.0000 x4
3 H 0.0000 0.0000 0.4237 x4
4 N 0.0000 0.0000 0.0000 x2

Main lines, sorted by position (10 to 80 degrees two-theta):
d (Å)	intensity
2.990	100
2.861	21
2.479	34
2.078	4
1.874	26
1.753	12
1.675	14
1.593	4
1.512	28
1.495	12
1.239	8
1.211	10

---

Entry 12:
Starting from DFT lattice parameters and positions (PBE), the powder diffraction line list of Ti4HN was computed for Cu Kα X-rays.
Peak positions follow from Bragg's law for the DFT cell and can differ from measured ones.

Cell and atoms:
a = 6.9128 Å, b = 6.9128 Å, c = 6.3016 Å
α = 90.00°, β = 90.00°, γ = 90.00°
Space group I4_1md (No. 109)
Unique sites:
1 Ti 0.0000 0.2082 0.0000 x8
2 Ti 0.0000 0.2165 0.5381 x8
3 H 0.0000 0.0000 0.2248 x4
4 N 0.0000 0.0000 0.7681 x4

Main lines, sorted by position (10 to 80 degrees two-theta):
d (Å)	intensity
4.657	7
2.444	45
2.329	100
2.186	19
1.796	7
1.728	16
1.575	7
1.447	11
1.388	20
1.324	9
1.278	4
1.245	7